Structure and simulated XRD peak list of ZnPbC2O6 (a crystal structure in Alexandria, relaxed with PBE; CuKα).
Kinematic intensities with the Lorentz-polarization factor, no thermal factor.

Largest 12 diffraction maxima, by angle, 2θ = 10–90°:
(hkl), 2θ/deg, I/Imax
1 0 1, 21.2, 30
0 1 2, 23.1, 81
1 0 4, 29.4, 100
0 1 5, 33.5, 17
1 1 0, 36.0, 37
1 1 3, 39.5, 19
2 0 2, 43.2, 27
0 2 4, 47.2, 16
0 1 8, 47.6, 24
2 -1 6, 48.6, 39
3 -2 2, 57.5, 22
3 -1 4, 60.7, 18

Cell and atoms:
a b c (Å): 4.9886 4.9886 17.0434
angles (deg): 90.00 90.00 120.00
Space group R-3 (No. 148, hexagonal axes)
Inequivalent atoms, fractional coordinates:
Zn: 0.0000 0.0000 0.0000 x3
Pb: 0.0000 0.0000 0.5000 x3
C: 0.0000 0.0000 0.2618 x6
O: 0.0498 0.2818 0.7401 x18

Structure and simulated XRD peak list of LiCa3Ag6 (a crystal structure in Alexandria, relaxed with PBE; CuKα).
Kinematic intensities with the Lorentz-polarization factor, no thermal factor.

Largest 12 diffraction maxima, by angle, 2θ = 10–90°:
(hkl), 2θ/deg, I/Imax
0 1 2, 17.1, 30
2 0 2, 23.1, 12
3 0 0, 26.8, 31
1 0 4, 30.8, 45
1 3 1, 33.2, 43
0 2 4, 34.6, 17
3 1 2, 35.7, 100
0 4 2, 39.0, 21
1 3 4, 44.3, 43
3 3 0, 47.4, 24
3 0 6, 53.0, 15
2 5 3, 62.5, 22

Cell and atoms:
a b c (Å): 11.5222 11.5222 12.1445
angles (deg): 90.00 90.00 120.00
Space group R-3c (No. 167, hexagonal axes)
Inequivalent atoms, fractional coordinates:
Li: 0.0000 0.0000 0.0000 x6
Ca: 0.0000 0.4329 0.2500 x18
Ag: 0.0684 0.1924 0.3461 x36

Structure and simulated XRD peak list of PmDy2Er5Sc (a crystal structure in Alexandria, relaxed with PBE; CuKα).
Kinematic intensities with the Lorentz-polarization factor, no thermal factor.

Largest 12 diffraction maxima, by angle, 2θ = 10–90°:
(hkl), 2θ/deg, I/Imax
1 3 2, 27.3, 22
0 6 1, 28.7, 18
1 1 3, 30.9, 40
2 0 0, 32.4, 49
1 5 2, 32.9, 100
0 0 4, 34.7, 11
2 6 1, 43.8, 12
2 0 4, 48.2, 9
0 6 5, 52.4, 14
3 5 2, 58.1, 20
1 11 3, 60.9, 12
2 6 5, 63.0, 16

Cell and atoms:
a b c (Å): 5.529 19.592 10.334
angles (deg): 90.00 90.00 90.00
Space group Cmc2_1 (No. 36)
Inequivalent atoms, fractional coordinates:
Pm: 0.000 0.087 0.000 x4
Dy: 0.000 0.386 0.281 x4
Dy: 0.000 0.389 0.861 x4
Er: 0.000 0.019 0.284 x4
Er: 0.000 0.123 0.566 x4
Er: 0.000 0.202 0.252 x4
Er: 0.000 0.223 0.867 x4
Er: 0.000 0.481 0.566 x4
Sc: 0.000 0.303 0.560 x4